1.
# B6Pb3O11F2
Theoretical PXRD pattern, Cu Kα (weighted mean of Kα1 and Kα2). Input: a PBE-relaxed structure.
Lines closer than 0.1° are merged.

Top 8 peaks for 2θ = 15–90°, most intense first:
Position (°2θ)  I_rel
19.72  100
25.21  86
27.68  73
29.07  70
28.75  48
24.81  39
20.79  39
36.22  38

Atomic structure:
Unit cell a=6.6826 b=8.4166 c=10.2987 alpha=90.00 beta=103.32 gamma=90.00
Atoms (fractional coordinates):
B 0.0015 0.0000 0.4531
B 0.0742 0.5596 0.8727
B 0.0848 0.3151 0.1718
B 0.0906 0.7802 0.6274
B 0.2931 0.0653 0.2121
B 0.3153 0.5388 0.7244
B 0.6847 0.0388 0.2756
B 0.7069 0.5653 0.7879
B 0.9094 0.2802 0.3726
B 0.9152 0.8151 0.8282
B 0.9258 0.0596 0.1273
B 0.9985 0.5000 0.5469
Pb 0.0763 0.1652 0.7691
Pb 0.4548 0.8412 0.9544
Pb 0.4629 0.3368 0.4621
Pb 0.5371 0.8368 0.5379
Pb 0.5452 0.3412 0.0456
Pb 0.9237 0.6652 0.2309
O 0.0136 0.3742 0.2850
O 0.0552 0.1561 0.4416
O 0.0702 0.7146 0.9159
O 0.1111 0.9786 0.1740
O 0.1422 0.8991 0.5324
O 0.1881 0.4424 0.6151
O 0.2525 0.4916 0.8532
O 0.2835 0.2294 0.2130
O 0.2875 0.7091 0.6982
O 0.3434 0.1014 0.9181
O 0.4712 0.9845 0.2584
O 0.5288 0.4845 0.7416
O 0.6566 0.6014 0.0819
O 0.7125 0.2091 0.3018
O 0.7165 0.7294 0.7870
O 0.7475 0.9916 0.1468
O 0.8119 0.9424 0.3849
O 0.8578 0.3991 0.4676
O 0.8889 0.4786 0.8260
O 0.9298 0.2146 0.0841
O 0.9448 0.6561 0.5584
O 0.9864 0.8742 0.7150
F 0.1275 0.4535 0.0982
F 0.4171 0.6118 0.4043
F 0.5829 0.1118 0.5957
F 0.8725 0.9535 0.9018

2.
# BPb3O4F
Theoretical PXRD pattern, Cu Kα (weighted mean of Kα1 and Kα2). Input: a PBE-relaxed structure.
Lines closer than 0.1° are merged.

Top 8 peaks for 2θ = 15–90°, most intense first:
Position (°2θ)  I_rel
28.18  100
27.22  72
26.65  31
53.41  20
37.42  20
18.46  20
18.86  19
41.84  17

Atomic structure:
Unit cell a=7.9051 b=6.6899 c=12.1098 alpha=90.00 beta=90.00 gamma=90.00
Atoms (fractional coordinates):
B 0.0207 0.2500 0.0000
B 0.0207 0.2500 0.5000
B 0.9793 0.7500 0.0000
B 0.9793 0.7500 0.5000
Pb 0.1036 0.0608 0.2500
Pb 0.1036 0.4392 0.7500
Pb 0.3229 0.5286 0.1039
Pb 0.3229 0.5286 0.3961
Pb 0.3229 0.9714 0.6039
Pb 0.3229 0.9714 0.8961
Pb 0.6771 0.0286 0.1039
Pb 0.6771 0.0286 0.3961
Pb 0.6771 0.4714 0.6039
Pb 0.6771 0.4714 0.8961
Pb 0.8964 0.5608 0.2500
Pb 0.8964 0.9392 0.7500
O 0.0671 0.6989 0.0957
O 0.0671 0.6989 0.4043
O 0.0671 0.8011 0.5957
O 0.0671 0.8011 0.9043
O 0.1902 0.0918 0.7500
O 0.1902 0.4082 0.2500
O 0.1962 0.2500 0.0000
O 0.1962 0.2500 0.5000
O 0.8038 0.7500 0.0000
O 0.8038 0.7500 0.5000
O 0.8098 0.5918 0.7500
O 0.8098 0.9082 0.2500
O 0.9329 0.1989 0.0957
O 0.9329 0.1989 0.4043
O 0.9329 0.3011 0.5957
O 0.9329 0.3011 0.9043
F 0.4095 0.7213 0.7500
F 0.4095 0.7787 0.2500
F 0.5905 0.2213 0.7500
F 0.5905 0.2787 0.2500

What did the second record say?
# BPb3O4F
Theoretical PXRD pattern, Cu Kα (weighted mean of Kα1 and Kα2). Input: a PBE-relaxed structure.
Lines closer than 0.1° are merged.

Top 8 peaks for 2θ = 15–90°, most intense first:
Position (°2θ)  I_rel
28.18  100
27.22  72
26.65  31
53.41  20
37.42  20
18.46  20
18.86  19
41.84  17

Atomic structure:
Unit cell a=7.9051 b=6.6899 c=12.1098 alpha=90.00 beta=90.00 gamma=90.00
Atoms (fractional coordinates):
B 0.0207 0.2500 0.0000
B 0.0207 0.2500 0.5000
B 0.9793 0.7500 0.0000
B 0.9793 0.7500 0.5000
Pb 0.1036 0.0608 0.2500
Pb 0.1036 0.4392 0.7500
Pb 0.3229 0.5286 0.1039
Pb 0.3229 0.5286 0.3961
Pb 0.3229 0.9714 0.6039
Pb 0.3229 0.9714 0.8961
Pb 0.6771 0.0286 0.1039
Pb 0.6771 0.0286 0.3961
Pb 0.6771 0.4714 0.6039
Pb 0.6771 0.4714 0.8961
Pb 0.8964 0.5608 0.2500
Pb 0.8964 0.9392 0.7500
O 0.0671 0.6989 0.0957
O 0.0671 0.6989 0.4043
O 0.0671 0.8011 0.5957
O 0.0671 0.8011 0.9043
O 0.1902 0.0918 0.7500
O 0.1902 0.4082 0.2500
O 0.1962 0.2500 0.0000
O 0.1962 0.2500 0.5000
O 0.8038 0.7500 0.0000
O 0.8038 0.7500 0.5000
O 0.8098 0.5918 0.7500
O 0.8098 0.9082 0.2500
O 0.9329 0.1989 0.0957
O 0.9329 0.1989 0.4043
O 0.9329 0.3011 0.5957
O 0.9329 0.3011 0.9043
F 0.4095 0.7213 0.7500
F 0.4095 0.7787 0.2500
F 0.5905 0.2213 0.7500
F 0.5905 0.2787 0.2500